Theoretical XRD peak list
Compound: CsV2BO8
Radiation: Cu Kα (weighted mean of Kα1 and Kα2)
Structure: DFT lattice parameters and positions (GGA+U)

Peak list (10 most intense, 2θ = 10–90°, in order of rising 2θ)
| 2θ (°) | I/Imax |
| --- | --- |
| 19.55 | 27.8 |
| 22.20 | 100.0 |
| 28.78 | 71.5 |
| 31.59 | 16.8 |
| 34.21 | 38.3 |
| 35.85 | 17.7 |
| 41.16 | 23.2 |
| 47.25 | 30.2 |
| 54.56 | 21.8 |
| 57.96 | 30.3 |

Crystal structure
Unit cell a=5.2419 b=5.2419 c=8.4969 alpha=90.00 beta=90.00 gamma=120.00
Space group P-3m1 (No. 164)
Inequivalent atoms, fractional coordinates:
Cs (0.0000, 0.0000, 0.0000) (multiplicity 1)
V (0.3333, 0.6667, 0.6783) (multiplicity 2)
B (0.0000, 0.0000, 0.5000) (multiplicity 1)
O (0.1496, 0.2991, 0.6121) (multiplicity 6)
O (0.3333, 0.6667, 0.8756) (multiplicity 2)

***

Theoretical XRD peak list
Compound: Li3Mo2P3O12
Radiation: Cu Kα (weighted mean of Kα1 and Kα2)
Structure: DFT lattice parameters and positions (GGA+U)

Peak list (10 most intense, 2θ = 10–90°, in order of rising 2θ)
| 2θ (°) | I/Imax |
| --- | --- |
| 13.82 | 21.4 |
| 19.32 | 38.9 |
| 19.78 | 33.5 |
| 20.21 | 100.0 |
| 23.16 | 31.3 |
| 23.49 | 22.3 |
| 27.84 | 23.0 |
| 28.39 | 39.7 |
| 31.93 | 22.3 |
| 34.31 | 37.2 |

Crystal structure
Unit cell a=15.1051 b=8.9788 c=8.8242 alpha=90.00 beta=121.95 gamma=90.00
Space group C2/c (No. 15)
Inequivalent atoms, fractional coordinates:
Li (0.0000, 0.1364, 0.2500) (multiplicity 4)
Li (0.1844, 0.3775, 0.2966) (multiplicity 8)
Mo (0.1055, 0.2462, 0.6388) (multiplicity 8)
P (0.0000, 0.4473, 0.2500) (multiplicity 4)
P (0.1403, 0.1154, 0.0517) (multiplicity 8)
O (0.0434, 0.1534, 0.0634) (multiplicity 8)
O (0.0608, 0.4619, 0.6867) (multiplicity 8)
O (0.0866, 0.3421, 0.3958) (multiplicity 8)
O (0.1163, 0.1470, 0.8641) (multiplicity 8)
O (0.1702, 0.0525, 0.5898) (multiplicity 8)
O (0.2300, 0.2094, 0.2011) (multiplicity 8)

***

Theoretical XRD peak list
Compound: Pr2NiO4
Radiation: Cu Kα (weighted mean of Kα1 and Kα2)
Structure: DFT lattice parameters and positions (GGA+U)

Peak list (10 most intense, 2θ = 10–90°, in order of rising 2θ)
| 2θ (°) | I/Imax |
| --- | --- |
| 23.65 | 29.6 |
| 29.09 | 13.6 |
| 31.47 | 100.0 |
| 32.02 | 72.8 |
| 43.38 | 22.2 |
| 43.81 | 29.5 |
| 45.92 | 35.3 |
| 56.73 | 38.6 |
| 57.49 | 10.5 |
| 65.01 | 11.2 |

Crystal structure
Unit cell a=5.5899 b=5.5899 c=12.2770 alpha=90.00 beta=90.00 gamma=90.00
Space group P4_2/ncm (No. 138, origin choice 2)
Inequivalent atoms, fractional coordinates:
Pr (0.0153, 0.0153, 0.1368) (multiplicity 8)
Ni (0.0000, 0.0000, 0.5000) (multiplicity 4)
O (0.0512, 0.0512, 0.6791) (multiplicity 8)
O (0.2500, 0.2500, 0.4717) (multiplicity 4)
O (0.2500, 0.7500, 0.0000) (multiplicity 4)